Computed XRD peak list of Li3Fe2Si2O8 for Cu Kα (λ = 1.5418 Å), from a DFT-relaxed cell (PBE+U, Alexandria).

Atomic structure:
```
data_Li3Fe2Si2O8
_chemical_formula_sum 'Li6 Fe4 Si4 O16'
_space_group_name_H-M_alt 'P 1 21 1'
_space_group_IT_number 4
_cell_length_a 5.0513
_cell_length_b 11.0275
_cell_length_c 6.2067
_cell_angle_alpha 90.00
_cell_angle_beta 90.56
_cell_angle_gamma 90.00
loop_
_space_group_symop_operation_xyz
'x,y,z'
'-x,y+1/2,-z'
loop_
_atom_site_label
_atom_site_fract_x
_atom_site_fract_y
_atom_site_fract_z
_atom_site_occupancy
Li1 0.0642 0.0000 0.2475 1
Li2 0.0790 0.9934 0.7387 1
Li3 0.4323 0.8276 0.2714 1
Fe1 0.0736 0.2503 0.4788 1
Fe2 0.4313 0.5839 0.0111 1
Si1 0.0744 0.2528 0.9851 1
Si2 0.4193 0.5838 0.5066 1
O1 0.0026 0.3292 0.1983 1
O2 0.0364 0.8224 0.2319 1
O3 0.0518 0.6104 0.0049 1
O4 0.0936 0.5768 0.5065 1
O5 0.3987 0.2349 0.9654 1
O6 0.4719 0.0116 0.2672 1
O7 0.4727 0.0149 0.7161 1
O8 0.4750 0.2227 0.4925 1
```

Peak list (10 most intense, 5 to 70 degrees two-theta, sorted by position)
hkl	d [Å]	2θ/deg	Rel. int.
0 2 0	5.514	16.1	63
1 2 0	3.724	23.9	100
0 0 2	3.103	28.8	39
1 3 0	2.972	30.1	28
0 4 0	2.757	32.5	25
0 2 2	2.704	33.1	52
2 0 0	2.525	35.6	47
0 6 2	1.581	58.4	27
3 3 0	1.531	60.5	16
3 3 -2	1.378	68.0	17